Computed PXRD pattern
Compound: Ba3CoSb2O9
Radiation: λ = 1.5418 Å (Cu Kα)
Structure: a crystal structure in Alexandria, relaxed with PBE+U
Peak positions follow from Bragg's law for the DFT cell and can differ from measured ones.

```
data_Ba3CoSb2O9
_chemical_formula_sum 'Ba6 Co2 Sb4 O18'
_symmetry_space_group_name_H-M 'P 63/m m c'
_symmetry_Int_Tables_number 194
_symmetry_space_group_name_Hall '-P 6c 2c'
_cell_length_a 5.9352
_cell_length_b 5.9352
_cell_length_c 14.7008
_cell_angle_alpha 90.00
_cell_angle_beta 90.00
_cell_angle_gamma 120.00
loop_
_atom_site_label
_atom_site_type_symbol
_atom_site_fract_x
_atom_site_fract_y
_atom_site_fract_z
Ba1 Ba 0.0000 0.0000 0.2500
Ba2 Ba 0.3333 0.6667 0.0867
Co1 Co 0.0000 0.0000 0.0000
Sb1 Sb 0.3333 0.6667 0.6520
O1 O 0.0366 0.5183 0.7500
O2 O 0.1690 0.3380 0.5843
```

Largest 12 diffraction maxima, sorted by position, 5° ≤ 2θ ≤ 70°:
2θ 18.28, d = 4.852 Å, rel. 10; 2θ 25.11, d = 3.547 Å, rel. 16; 2θ 29.89, d = 2.990 Å, rel. 55; 2θ 30.11, d = 2.968 Å, rel. 100; 2θ 35.16, d = 2.552 Å, rel. 25; 2θ 39.60, d = 2.276 Å, rel. 14; 2θ 42.94, d = 2.106 Å, rel. 33; 2θ 46.96, d = 1.935 Å, rel. 16; 2θ 53.34, d = 1.718 Å, rel. 21; 2θ 53.48, d = 1.713 Å, rel. 20; 2θ 56.80, d = 1.621 Å, rel. 14; 2θ 62.61, d = 1.484 Å, rel. 19